[1]
Computed powder diffractogram of Sr5Ir for Cu Kα (weighted mean of Kα1 and Kα2), from a structure optimized by DFT (PBE).
Lines closer than 0.1° are merged.

Most intense lines, 10 to 90 degrees two-theta, in order of rising 2θ:
Position (°2θ)  I (rel.)
11.9  100
15.3  33
26.7  35
28.1  87
29.5  33
31.2  64
31.9  53
40.0  35

Atomic structure:
```
12
Lattice="11.583 0.000 0.000 0.000 4.510 0.000 0.000 0.000 9.720" Properties=species:S:1:pos:R:3 pbc="T T T"
Sr 0.000 0.000 0.000
Sr 1.022 2.255 2.979
Sr 2.896 0.000 5.839
Sr 2.896 2.255 9.370
Sr 4.769 2.255 2.979
Sr 5.791 0.000 0.000
Sr 6.814 2.255 6.741
Sr 8.687 0.000 3.881
Sr 8.687 2.255 0.350
Sr 10.560 2.255 6.741
Ir 2.896 0.000 1.753
Ir 8.687 0.000 7.967
```

[2]
Computed powder diffractogram of BeAg2GeO4 for Cu Kα (weighted mean of Kα1 and Kα2), from a structure optimized by DFT (PBE).
Lines closer than 0.1° are merged.

Most intense lines, 10 to 90 degrees two-theta, in order of rising 2θ:
Position (°2θ)  I (rel.)
21.1  28
34.2  100
35.9  33
39.0  13
42.0  21
51.7  15
60.1  21
63.4  30

Atomic structure:
```
8
Lattice="-2.501 2.501 3.909 2.501 -2.501 3.909 2.501 2.501 -3.909" Properties=species:S:1:pos:R:3 pbc="T T T"
Be 0.000 0.000 0.000
Ag 0.000 0.000 3.909
Ag 0.000 2.501 1.954
Ge 2.501 0.000 1.954
O 1.834 -1.302 2.974
O 1.200 0.667 0.934
O 0.667 3.803 -0.934
O 1.302 1.834 4.843
```

[3]
Computed powder diffractogram of HfGaTeRh2 for Cu Kα (weighted mean of Kα1 and Kα2), from a structure optimized by DFT (PBE).
Lines closer than 0.1° are merged.

Most intense lines, 10 to 90 degrees two-theta, in order of rising 2θ:
Position (°2θ)  I (rel.)
16.0  42
18.3  88
30.7  54
32.4  72
37.1  100
50.0  84
53.4  35
63.9  40

Atomic structure:
```
5
Lattice="4.849 0.000 0.000 0.000 4.849 0.000 0.000 0.000 5.529" Properties=species:S:1:pos:R:3 pbc="T T T"
Hf 0.000 0.000 0.000
Ga 2.425 2.425 2.765
Te 0.000 0.000 2.765
Rh 0.000 2.425 0.000
Rh 2.425 0.000 0.000
```

[4]
Computed powder diffractogram of Pu2Co17 for Cu Kα (weighted mean of Kα1 and Kα2), from a structure optimized by DFT (PBE).
Lines closer than 0.1° are merged.

Most intense lines, 10 to 90 degrees two-theta, in order of rising 2θ:
Position (°2θ)  I (rel.)
31.0  60
37.7  47
39.1  33
43.8  62
44.1  100
45.0  22
45.2  27
63.9  23

Atomic structure:
```
19
Lattice="4.137 2.389 4.015 -4.137 2.389 4.015 0.000 -4.777 4.015" Properties=species:S:1:pos:R:3 pbc="T T T"
Pu 0.000 0.000 1.891
Pu 0.000 0.000 10.154
Co -2.069 -1.194 4.015
Co 0.000 -2.382 3.833
Co -2.062 1.191 3.833
Co -1.204 -2.085 6.023
Co -2.407 0.000 6.023
Co -2.062 -1.191 8.212
Co 0.000 0.000 4.841
Co -2.069 1.194 8.030
Co 1.204 -2.085 6.023
Co 0.000 2.389 4.015
Co -1.204 2.085 6.023
Co 0.000 0.000 7.205
Co 2.062 1.191 3.833
Co 2.407 0.000 6.023
Co 1.204 2.085 6.023
Co 2.062 -1.191 8.212
Co 0.000 2.382 8.212
```

[5]
Computed powder diffractogram of CuPbCl2 for Cu Kα (weighted mean of Kα1 and Kα2), from a structure optimized by DFT (PBE).
Lines closer than 0.1° are merged.

Most intense lines, 10 to 90 degrees two-theta, in order of rising 2θ:
Position (°2θ)  I (rel.)
11.0  100
27.3  28
30.9  76
32.9  23
37.7  27
40.5  27
47.8  25
49.2  17

Atomic structure:
```
4
Lattice="1.904 1.099 8.052 -1.904 1.099 8.052 0.000 -2.199 8.052" Properties=species:S:1:pos:R:3 pbc="T T T"
Cu 0.000 0.000 0.000
Pb 0.000 0.000 6.121
Cl 0.000 0.000 12.259
Cl 0.000 0.000 16.991
```

[6]
Computed powder diffractogram of SmNi4SnP2 for Cu Kα (weighted mean of Kα1 and Kα2), from a structure optimized by DFT (PBE).
Lines closer than 0.1° are merged.

Most intense lines, 10 to 90 degrees two-theta, in order of rising 2θ:
Position (°2θ)  I (rel.)
22.7  37
32.0  63
39.5  100
46.3  47
51.3  20
57.3  24
71.6  15
81.1  24

Atomic structure:
```
8
Lattice="3.925 0.000 0.000 0.000 3.925 0.000 0.000 0.000 7.987" Properties=species:S:1:pos:R:3 pbc="T T T"
Sm 0.000 0.000 0.000
Ni 0.000 1.963 2.281
Ni 0.000 1.963 5.706
Ni 1.963 0.000 2.281
Ni 1.963 0.000 5.706
Sn 0.000 0.000 3.994
P 1.963 1.963 1.205
P 1.963 1.963 6.782
```